This entry pairs a crystal structure of U4Ga12Cu with its calculated powder diffraction line list. Radiation: Cu Kα. Structure: a GGA-PBE-relaxed structure.
Kinematic intensities with the Lorentz-polarization factor, no thermal factor.

Cell and atoms:
```
data_U4Ga12Cu
_chemical_formula_sum 'U4 Ga12 Cu1'
_cell_length_a 7.455
_cell_length_b 7.455
_cell_length_c 7.455
_cell_angle_alpha 109.47
_cell_angle_beta 109.47
_cell_angle_gamma 109.47
_symmetry_space_group_name_H-M 'P 1'
_symmetry_Int_Tables_number 1
loop_
_symmetry_equiv_pos_as_xyz
'x,y,z'
loop_
_atom_site_label
_atom_site_fract_x
_atom_site_fract_y
_atom_site_fract_z
U1 0.000 0.000 0.500
U2 0.000 0.500 0.000
U3 0.500 0.000 0.000
U4 0.500 0.500 0.500
Ga1 0.000 0.290 0.290
Ga2 0.000 0.710 0.710
Ga3 0.250 0.500 0.750
Ga4 0.250 0.750 0.500
Ga5 0.290 0.000 0.290
Ga6 0.290 0.290 0.000
Ga7 0.500 0.250 0.750
Ga8 0.500 0.750 0.250
Ga9 0.710 0.000 0.710
Ga10 0.710 0.710 0.000
Ga11 0.750 0.250 0.500
Ga12 0.750 0.500 0.250
Cu1 0.000 0.000 0.000
```

Principal peaks in the range 5 to 70 degrees two-theta, by angle:
Position (°2θ)	d/Å	I (rel.)
20.6	4.304	29
29.3	3.044	48
36.1	2.485	100
39.2	2.301	4
42.0	2.152	57
47.2	1.925	19
52.0	1.757	17
60.9	1.522	35
65.0	1.435	11
69.0	1.361	12